This entry pairs a crystal structure of K4Nb3VO12 with its simulated powder X-ray diffraction pattern. Radiation: λ = 1.5418 Å (Cu Kα). Structure: a structure optimized by DFT (PBE+U).

Structure:
a b c (Å): 6.943 6.943 6.943
angles (deg): 109.47 109.47 109.47
Fractional positions:
K 0.000 0.000 0.500
K 0.000 0.500 0.000
K 0.500 0.000 0.000
K 0.500 0.500 0.500
Nb 0.000 0.500 0.500
Nb 0.500 0.000 0.500
Nb 0.500 0.500 0.000
V 0.000 0.000 0.000
O 0.000 0.243 0.243
O 0.000 0.757 0.757
O 0.243 0.000 0.243
O 0.243 0.243 0.000
O 0.250 0.500 0.750
O 0.250 0.750 0.500
O 0.500 0.250 0.750
O 0.500 0.750 0.250
O 0.750 0.250 0.500
O 0.750 0.500 0.250
O 0.757 0.000 0.757
O 0.757 0.757 0.000

Principal peaks in the range 10 to 80 degrees two-theta, most intense first:
d (Å)	I/Imax
2.835	1000
2.004	438
4.009	391
1.637	367
1.417	244
1.793	155
1.268	153
1.336	69

=====

This entry pairs a crystal structure of K2NbVO6 with its simulated powder X-ray diffraction pattern. Radiation: λ = 1.5418 Å (Cu Kα). Structure: a structure optimized by DFT (PBE+U).

Structure:
a b c (Å): 5.344 5.344 5.189
angles (deg): 90.00 90.00 90.00
Fractional positions:
K 0.000 0.500 0.000
K 0.500 0.000 0.000
Nb 0.000 0.000 0.510
V 0.500 0.500 0.512
O 0.000 0.000 0.160
O 0.257 0.257 0.601
O 0.257 0.743 0.601
O 0.500 0.500 0.190
O 0.743 0.257 0.601
O 0.743 0.743 0.601

Principal peaks in the range 10 to 80 degrees two-theta, most intense first:
d (Å)	I/Imax
3.055	1000
2.672	283
1.607	265
1.890	257
5.189	236
2.594	220
3.779	187
1.861	174

=====

This entry pairs a crystal structure of KNbW2O9 with its simulated powder X-ray diffraction pattern. Radiation: λ = 1.5418 Å (Cu Kα). Structure: a structure optimized by DFT (PBE+U).

Structure:
a b c (Å): 3.952 13.063 13.064
angles (deg): 60.14 89.87 89.91
Fractional positions:
K 0.000 0.000 0.000
K 0.004 0.376 0.312
K 0.204 0.689 0.619
Nb 0.538 0.851 0.284
Nb 0.541 0.520 0.451
Nb 0.548 0.852 0.784
W 0.453 0.185 0.117
W 0.453 0.186 0.616
W 0.457 0.683 0.117
W 0.540 0.020 0.449
W 0.541 0.349 0.784
W 0.542 0.520 0.947
O 0.002 0.859 0.267
O 0.004 0.027 0.442
O 0.005 0.347 0.784
O 0.005 0.513 0.444
O 0.007 0.515 0.947
O 0.010 0.847 0.775
O 0.493 0.144 0.278
O 0.493 0.806 0.152
O 0.494 0.026 0.150
O 0.494 0.142 0.491
O 0.495 0.229 0.737
O 0.495 0.229 0.947
O 0.496 0.346 0.493
O 0.496 0.686 0.408
O 0.496 0.904 0.400
O 0.497 0.352 0.065
O 0.498 0.470 0.621
O 0.498 0.560 0.276
O 0.500 0.022 0.733
O 0.500 0.561 0.067
O 0.501 0.471 0.826
O 0.503 0.678 0.823
O 0.503 0.802 0.951
O 0.503 0.899 0.606
O 0.987 0.188 0.112
O 0.988 0.185 0.615
O 0.991 0.680 0.114

Principal peaks in the range 10 to 80 degrees two-theta, most intense first:
d (Å)	I/Imax
3.268	1000
6.540	470
3.952	459
2.519	354
3.382	284
1.703	173
1.888	168
3.772	141

=====

This entry pairs a crystal structure of KNbWO7 with its simulated powder X-ray diffraction pattern. Radiation: λ = 1.5418 Å (Cu Kα). Structure: a structure optimized by DFT (PBE+U).

Structure:
a b c (Å): 7.490 7.490 7.490
angles (deg): 119.44 119.37 91.04
Fractional positions:
K 0.500 0.000 0.000
K 0.500 0.500 0.500
Nb 0.000 0.000 0.000
Nb 0.500 0.000 0.500
W 0.000 0.000 0.500
W 0.000 0.500 0.000
O 0.060 0.313 0.114
O 0.060 0.947 0.747
O 0.062 0.312 0.750
O 0.278 0.528 0.750
O 0.301 0.053 0.614
O 0.301 0.687 0.247
O 0.313 0.063 0.250
O 0.687 0.937 0.750
O 0.699 0.313 0.753
O 0.699 0.947 0.386
O 0.722 0.472 0.250
O 0.938 0.688 0.250
O 0.940 0.053 0.253
O 0.940 0.687 0.886

Principal peaks in the range 10 to 80 degrees two-theta, most intense first:
d (Å)	I/Imax
6.134	1000
3.066	969
3.217	380
1.609	279
1.872	250
2.672	185
3.175	155
1.889	146